Calculated X-ray powder pattern of La2ScSb4Pd3 for copper Kα, from a structure optimized by DFT (GGA-PBE).

Cell and atoms:
```
data_La2ScSb4Pd3
_space_group_name_H-M_alt 'P -4 m 2'
_space_group_IT_number 115
_space_group_name_Hall 'P -4 -2'
_cell_length_a 4.5883
_cell_length_b 4.5883
_cell_length_c 11.5498
_cell_angle_alpha 90.00
_cell_angle_beta 90.00
_cell_angle_gamma 90.00
loop_
_atom_site_label
_atom_site_type_symbol
_atom_site_fract_x
_atom_site_fract_y
_atom_site_fract_z
La1 La 0.0000 0.5000 0.2352
Sc1 Sc 0.0000 0.0000 0.5000
Sb1 Sb 0.0000 0.0000 0.0000
Sb2 Sb 0.0000 0.5000 0.6445
Sb3 Sb 0.5000 0.5000 0.0000
Pd1 Pd 0.0000 0.5000 0.8723
Pd2 Pd 0.5000 0.5000 0.5000
```

Largest 10 diffraction maxima, in order of falling intensity, 2θ from 5° to 70°:
| 2theta | Rel. int. | hkl |
| --- | --- | --- |
| 31.63 | 100 | 1 1 2 |
| 39.27 | 66 | 2 0 0 |
| 30.31 | 55 | 1 0 3 |
| 43.88 | 32 | 1 0 5 |
| 41.88 | 28 | 1 1 4 |
| 50.39 | 26 | 2 1 3 |
| 60.33 | 25 | 2 1 5 |
| 66.44 | 23 | 3 1 2 |
| 56.75 | 22 | 2 2 0 |
| 27.49 | 15 | 1 1 0 |

***

Calculated X-ray powder pattern of La2TbSb3Pd4 for copper Kα, from a structure optimized by DFT (GGA-PBE).

Cell and atoms:
```
data_La2TbSb3Pd4
_space_group_name_H-M_alt 'P -4 m 2'
_space_group_IT_number 115
_space_group_name_Hall 'P -4 -2'
_cell_length_a 4.5534
_cell_length_b 4.5534
_cell_length_c 11.5420
_cell_angle_alpha 90.00
_cell_angle_beta 90.00
_cell_angle_gamma 90.00
loop_
_atom_site_label
_atom_site_type_symbol
_atom_site_fract_x
_atom_site_fract_y
_atom_site_fract_z
La1 La 0.0000 0.5000 0.2135
Tb1 Tb 0.0000 0.0000 0.5000
Sb1 Sb 0.0000 0.5000 0.8705
Sb2 Sb 0.5000 0.5000 0.5000
Pd1 Pd 0.0000 0.0000 0.0000
Pd2 Pd 0.0000 0.5000 0.6438
Pd3 Pd 0.5000 0.5000 0.0000
```

Largest 10 diffraction maxima, in order of falling intensity, 2θ from 5° to 70°:
| 2theta | Rel. int. | hkl |
| --- | --- | --- |
| 31.83 | 100 | 1 1 2 |
| 39.59 | 64 | 2 0 0 |
| 42.05 | 42 | 1 1 4 |
| 30.42 | 37 | 1 0 3 |
| 66.97 | 27 | 3 1 2 |
| 57.22 | 21 | 2 2 0 |
| 50.72 | 17 | 2 1 3 |
| 43.98 | 17 | 1 0 5 |
| 60.64 | 13 | 2 1 5 |
| 63.30 | 9 | 2 0 6 |

***

Calculated X-ray powder pattern of LaZrSb2Pd2 for copper Kα, from a structure optimized by DFT (GGA-PBE).

Cell and atoms:
```
data_LaZrSb2Pd2
_space_group_name_H-M_alt 'P -3 m 1'
_space_group_IT_number 164
_space_group_name_Hall '-P 3 2"'
_cell_length_a 4.6217
_cell_length_b 4.6217
_cell_length_c 7.3995
_cell_angle_alpha 90.00
_cell_angle_beta 90.00
_cell_angle_gamma 120.00
loop_
_atom_site_label
_atom_site_type_symbol
_atom_site_fract_x
_atom_site_fract_y
_atom_site_fract_z
La1 La 0.0000 0.0000 0.0000
Zr1 Zr 0.0000 0.0000 0.5000
Sb1 Sb 0.3333 0.6667 0.7387
Pd1 Pd 0.3333 0.6667 0.3375
```

Largest 10 diffraction maxima, in order of falling intensity, 2θ from 5° to 70°:
| 2theta | Rel. int. | hkl |
| --- | --- | --- |
| 32.97 | 100 | 1 0 2 |
| 38.98 | 84 | 1 1 0 |
| 51.95 | 27 | 0 2 2 |
| 66.81 | 25 | 2 1 2 |
| 25.30 | 16 | 1 0 1 |
| 43.08 | 15 | 1 0 3 |
| 54.41 | 13 | 1 1 3 |
| 67.48 | 10 | 1 0 5 |
| 64.53 | 9 | 1 1 4 |
| 11.96 | 9 | 0 0 1 |

***

Calculated X-ray powder pattern of LaScSi2Pd5 for copper Kα, from a structure optimized by DFT (GGA-PBE).

Cell and atoms:
```
data_LaScSi2Pd5
_space_group_name_H-M_alt 'P 4/m m m'
_space_group_IT_number 123
_space_group_name_Hall '-P 4 2'
_cell_length_a 4.1849
_cell_length_b 4.1849
_cell_length_c 9.0493
_cell_angle_alpha 90.00
_cell_angle_beta 90.00
_cell_angle_gamma 90.00
loop_
_atom_site_label
_atom_site_type_symbol
_atom_site_fract_x
_atom_site_fract_y
_atom_site_fract_z
La1 La 0.0000 0.0000 0.0000
Sc1 Sc 0.0000 0.0000 0.5000
Si1 Si 0.5000 0.5000 0.3734
Pd1 Pd 0.0000 0.5000 0.2426
Pd2 Pd 0.5000 0.5000 0.0000
```

Largest 10 diffraction maxima, in order of falling intensity, 2θ from 5° to 70°:
| 2theta | Rel. int. | hkl |
| --- | --- | --- |
| 36.27 | 100 | 1 1 2 |
| 43.24 | 36 | 2 0 0 |
| 9.77 | 32 | 0 0 1 |
| 60.25 | 19 | 2 0 4 |
| 39.85 | 16 | 0 0 4 |
| 62.80 | 11 | 2 2 0 |
| 42.81 | 11 | 1 1 3 |
| 31.82 | 5 | 1 1 1 |
| 19.62 | 5 | 0 0 2 |
| 44.44 | 4 | 2 0 1 |

***

Calculated X-ray powder pattern of La3SiPd for copper Kα, from a structure optimized by DFT (GGA-PBE).

Cell and atoms:
```
data_La3SiPd
_space_group_name_H-M_alt 'P m m n'
_space_group_IT_number 59
_cell_length_a 4.3141
_cell_length_b 9.4732
_cell_length_c 6.9461
_cell_angle_alpha 90.00
_cell_angle_beta 90.00
_cell_angle_gamma 90.00
loop_
_space_group_symop_operation_xyz
'x,y,z'
'-x,-y,-z'
'-x+1/2,-y+1/2,z'
'x+1/2,y+1/2,-z'
'x+1/2,-y,-z'
'-x+1/2,y,z'
'-x,y+1/2,-z'
'x,-y+1/2,z'
loop_
_atom_site_label
_atom_site_type_symbol
_atom_site_fract_x
_atom_site_fract_y
_atom_site_fract_z
La1 La 0.2500 0.0522 0.2233
La2 La 0.2500 0.2500 0.7120
Si1 Si 0.2500 0.7500 0.9735
Pd1 Pd 0.2500 0.7500 0.5934
```

Largest 10 diffraction maxima, in order of falling intensity, 2θ from 5° to 70°:
| 2theta | Rel. int. | hkl |
| --- | --- | --- |
| 30.85 | 100 | 1 2 1 |
| 34.48 | 33 | 1 1 2 |
| 31.11 | 25 | 0 3 1 |
| 25.65 | 23 | 0 0 2 |
| 41.88 | 19 | 2 0 0 |
| 59.57 | 18 | 1 5 2 |
| 22.70 | 15 | 0 2 1 |
| 48.77 | 15 | 0 3 3 |
| 33.11 | 15 | 1 0 2 |
| 66.20 | 12 | 2 3 3 |

***

Calculated X-ray powder pattern of La4SiPd3 for copper Kα, from a structure optimized by DFT (GGA-PBE).

Cell and atoms:
```
data_La4SiPd3
_space_group_name_H-M_alt 'P m m 2'
_space_group_IT_number 25
_space_group_name_Hall 'P 2 -2'
_cell_length_a 4.1515
_cell_length_b 4.4578
_cell_length_c 11.2542
_cell_angle_alpha 90.00
_cell_angle_beta 90.00
_cell_angle_gamma 90.00
loop_
_atom_site_label
_atom_site_type_symbol
_atom_site_fract_x
_atom_site_fract_y
_atom_site_fract_z
La1 La 0.0000 0.0000 0.0000
La2 La 0.0000 0.5000 0.2730
La3 La 0.5000 0.0000 0.5031
La4 La 0.5000 0.5000 0.7771
Si1 Si 0.0000 0.0000 0.7137
Pd1 Pd 0.0000 0.5000 0.5648
Pd2 Pd 0.5000 0.0000 0.2261
Pd3 Pd 0.5000 0.5000 0.0542
```

Largest 10 diffraction maxima, in order of falling intensity, 2θ from 5° to 70°:
| 2theta | Rel. int. | hkl |
| --- | --- | --- |
| 30.48 | 100 | 1 1 1 |
| 38.12 | 64 | 1 1 3 |
| 31.81 | 30 | 0 0 4 |
| 32.16 | 29 | 1 0 3 |
| 40.47 | 27 | 0 2 0 |
| 43.61 | 22 | 2 0 0 |
| 37.81 | 18 | 0 1 4 |
| 61.00 | 16 | 2 2 0 |
| 52.37 | 15 | 0 2 4 |
| 52.60 | 14 | 1 2 3 |

***

Calculated X-ray powder pattern of La3Si6Pd20 for copper Kα, from a structure optimized by DFT (GGA-PBE).

Cell and atoms:
```
data_La3Si6Pd20
_space_group_name_H-M_alt 'F m -3 m'
_space_group_IT_number 225
_space_group_name_Hall '-F 4 2 3'
_cell_length_a 12.4537
_cell_length_b 12.4537
_cell_length_c 12.4537
_cell_angle_alpha 90.00
_cell_angle_beta 90.00
_cell_angle_gamma 90.00
loop_
_atom_site_label
_atom_site_type_symbol
_atom_site_fract_x
_atom_site_fract_y
_atom_site_fract_z
La1 La 0.0000 0.0000 0.0000
La2 La 0.2500 0.2500 0.2500
Si1 Si 0.0000 0.0000 0.2677
Pd1 Pd 0.0000 0.1735 0.1735
Pd2 Pd 0.1145 0.1145 0.3855
```

Largest 10 diffraction maxima, in order of falling intensity, 2θ from 5° to 70°:
| 2theta | Rel. int. | hkl |
| --- | --- | --- |
| 37.53 | 100 | 3 3 3 |
| 35.31 | 30 | 4 2 2 |
| 41.00 | 30 | 4 4 0 |
| 63.37 | 29 | 6 6 0 |
| 42.97 | 25 | 5 3 1 |
| 32.14 | 23 | 4 2 0 |
| 64.84 | 14 | 5 5 5 |
| 48.49 | 11 | 6 2 2 |
| 43.61 | 10 | 6 0 0 |
| 61.39 | 8 | 6 4 4 |

***

Calculated X-ray powder pattern of La2Si3Pd6 for copper Kα, from a structure optimized by DFT (GGA-PBE).

Cell and atoms:
```
data_La2Si3Pd6
_space_group_name_H-M_alt 'P -6 2 m'
_space_group_IT_number 189
_space_group_name_Hall 'P -6 -2'
_cell_length_a 7.4089
_cell_length_b 7.4089
_cell_length_c 4.3891
_cell_angle_alpha 90.00
_cell_angle_beta 90.00
_cell_angle_gamma 120.00
loop_
_atom_site_label
_atom_site_type_symbol
_atom_site_fract_x
_atom_site_fract_y
_atom_site_fract_z
La1 La 0.3333 0.6667 0.0000
Si1 Si 0.0000 0.6410 0.5000
Pd1 Pd 0.0000 0.3100 0.5000
Pd2 Pd 0.0000 0.7869 0.0000
```

Largest 10 diffraction maxima, in order of falling intensity, 2θ from 5° to 70°:
| 2theta | Rel. int. | hkl |
| --- | --- | --- |
| 31.61 | 100 | 1 1 1 |
| 42.59 | 48 | 2 1 1 |
| 42.26 | 28 | 3 0 0 |
| 41.13 | 26 | 0 0 2 |
| 37.07 | 22 | 2 1 0 |
| 60.44 | 19 | 3 0 2 |
| 27.81 | 14 | 2 0 0 |
| 56.56 | 13 | 2 1 2 |
| 69.02 | 10 | 1 1 3 |
| 34.63 | 9 | 2 0 1 |

***

Calculated X-ray powder pattern of LaSi2Pd4 for copper Kα, from a structure optimized by DFT (GGA-PBE).

Cell and atoms:
```
data_LaSi2Pd4
_space_group_name_H-M_alt 'P 42/m n m'
_space_group_IT_number 136
_space_group_name_Hall '-P 4n 2n'
_cell_length_a 7.9864
_cell_length_b 7.9864
_cell_length_c 3.7996
_cell_angle_alpha 90.00
_cell_angle_beta 90.00
_cell_angle_gamma 90.00
loop_
_atom_site_label
_atom_site_type_symbol
_atom_site_fract_x
_atom_site_fract_y
_atom_site_fract_z
La1 La 0.0000 0.0000 0.0000
Si1 Si 0.2244 0.2244 0.5000
Pd1 Pd 0.0813 0.6721 0.5000
```

Largest 10 diffraction maxima, in order of falling intensity, 2θ from 5° to 70°:
| 2theta | Rel. int. | hkl |
| --- | --- | --- |
| 34.46 | 100 | 2 1 1 |
| 35.55 | 50 | 3 1 0 |
| 39.77 | 35 | 2 2 1 |
| 43.00 | 31 | 3 1 1 |
| 63.14 | 28 | 5 0 1 |
| 47.88 | 21 | 0 0 2 |
| 46.91 | 20 | 4 1 0 |
| 61.03 | 20 | 3 1 2 |
| 28.31 | 15 | 1 1 1 |
| 69.28 | 12 | 4 1 2 |

***

Calculated X-ray powder pattern of La2SiPd5 for copper Kα, from a structure optimized by DFT (GGA-PBE).

Cell and atoms:
```
data_La2SiPd5
_space_group_name_H-M_alt 'I 4 m m'
_space_group_IT_number 107
_space_group_name_Hall 'I 4 -2'
_cell_length_a 6.1487
_cell_length_b 6.1487
_cell_length_c 8.7334
_cell_angle_alpha 90.00
_cell_angle_beta 90.00
_cell_angle_gamma 90.00
loop_
_atom_site_label
_atom_site_type_symbol
_atom_site_fract_x
_atom_site_fract_y
_atom_site_fract_z
La1 La 0.0000 0.5000 0.0000
Si1 Si 0.0000 0.0000 0.2797
Pd1 Pd 0.0000 0.0000 0.9918
Pd2 Pd 0.2272 0.2272 0.7480
```

Largest 10 diffraction maxima, in order of falling intensity, 2θ from 5° to 70°:
| 2theta | Rel. int. | hkl |
| --- | --- | --- |
| 35.72 | 100 | 2 0 2 |
| 41.54 | 36 | 2 2 0 |
| 60.06 | 23 | 2 2 4 |
| 41.35 | 19 | 0 0 4 |
| 28.98 | 12 | 1 1 2 |
| 17.64 | 12 | 1 0 1 |
| 60.20 | 11 | 4 0 0 |
| 45.41 | 9 | 3 0 1 |
| 20.41 | 7 | 1 1 0 |
| 34.19 | 7 | 2 1 1 |

***

Calculated X-ray powder pattern of LaSiPd6 for copper Kα, from a structure optimized by DFT (GGA-PBE).

Cell and atoms:
```
data_LaSiPd6
_space_group_name_H-M_alt 'R -3 m'
_space_group_IT_number 166
_space_group_name_Hall '-R 3 2"'
_cell_length_a 5.8138
_cell_length_b 5.8138
_cell_length_c 16.2129
_cell_angle_alpha 90.00
_cell_angle_beta 90.00
_cell_angle_gamma 120.00
loop_
_atom_site_label
_atom_site_type_symbol
_atom_site_fract_x
_atom_site_fract_y
_atom_site_fract_z
La1 La 0.0000 0.0000 0.0000
Si1 Si 0.0000 0.0000 0.5000
Pd1 Pd 0.0238 0.5119 0.9181
```

Largest 10 diffraction maxima, in order of falling intensity, 2θ from 5° to 70°:
| 2theta | Rel. int. | hkl |
| --- | --- | --- |
| 36.11 | 100 | 0 2 1 |
| 37.41 | 50 | 2 0 2 |
| 28.27 | 46 | 1 0 4 |
| 45.85 | 32 | 1 1 6 |
| 64.07 | 25 | 2 2 0 |
| 33.15 | 23 | 0 0 6 |
| 45.62 | 21 | 2 0 5 |
| 32.85 | 19 | 0 1 5 |
| 56.03 | 16 | 1 2 5 |
| 53.78 | 15 | 0 2 7 |

***

Calculated X-ray powder pattern of LaSiPd3 for copper Kα, from a structure optimized by DFT (GGA-PBE).

Cell and atoms:
```
data_LaSiPd3
_space_group_name_H-M_alt 'I m m a'
_space_group_IT_number 74
_space_group_name_Hall '-I 2b 2'
_cell_length_a 5.5950
_cell_length_b 8.8901
_cell_length_c 8.0181
_cell_angle_alpha 90.00
_cell_angle_beta 90.00
_cell_angle_gamma 90.00
loop_
_atom_site_label
_atom_site_type_symbol
_atom_site_fract_x
_atom_site_fract_y
_atom_site_fract_z
La1 La 0.0000 0.2500 0.0309
Si1 Si 0.0000 0.0000 0.5000
Pd1 Pd 0.0000 0.2500 0.6261
Pd2 Pd 0.2500 0.0012 0.7500
```

Largest 10 diffraction maxima, in order of falling intensity, 2θ from 5° to 70°:
| 2theta | Rel. int. | hkl |
| --- | --- | --- |
| 38.00 | 100 | 2 2 0 |
| 30.02 | 99 | 0 2 2 |
| 39.27 | 67 | 2 0 2 |
| 29.19 | 56 | 1 1 2 |
| 40.59 | 53 | 0 4 0 |
| 57.76 | 42 | 2 4 2 |
| 42.65 | 37 | 1 2 3 |
| 41.17 | 22 | 1 3 2 |
| 27.95 | 18 | 1 2 1 |
| 49.91 | 16 | 0 2 4 |